Computed X-ray diffraction stick pattern of K2CdI2Cl2 for copper Kα, from a GGA-PBE-relaxed structure.
Kinematic intensities with the Lorentz-polarization factor, no thermal factor.

Cell and atoms:
Cell: 9.583 9.583 9.583 Å, 147.53 147.53 46.58°
Fractional coordinates of all 7 atoms:
1 K 0.125 0.125 0.000
2 K 0.875 0.875 0.000
3 Cd 0.500 0.500 0.000
4 I 0.333 0.333 0.000
5 I 0.667 0.667 0.000
6 Cl 0.000 0.500 0.500
7 Cl 0.500 0.000 0.500

Peak list (10 most intense, 5 to 70 degrees two-theta, most intense first)
2θ (°)  I/Imax
30.41  100
23.48  99
17.30  95
45.84  83
33.45  76
38.82  33
57.93  31
37.89  27
48.03  26
54.13  20